Entry 1:
Rb2NiAsSe4: simulated X-ray diffraction stick pattern (CuKα), based on a structure optimized by DFT (PBE).
Intensities are scaled so that the largest is 100.

Atomic structure:
Unit cell a=6.518 b=13.984 c=23.630 alpha=90.00 beta=90.00 gamma=90.00
Space group Fddd (No. 70, origin choice 2)
Unique sites:
Rb1 0.125 0.125 0.302 (multiplicity 16)
Ni1 0.125 0.125 0.125 (multiplicity 8)
As1 0.125 0.125 0.625 (multiplicity 8)
Se1 0.122 0.277 0.424 (multiplicity 32)

Top 6 peaks for 2θ = 10–80°, most intense first:
- 3.416 Å, rel. 100, hkl 1 3 3
- 2.956 Å, rel. 95, hkl 1 3 5
- 5.908 Å, rel. 44, hkl 0 0 4
- 3.431 Å, rel. 43, hkl 0 2 6
- 1.912 Å, rel. 42, hkl 2 0 10
- 2.511 Å, rel. 35, hkl 2 0 6


Entry 2:
BaHo2RuN4: simulated X-ray diffraction stick pattern (CuKα), based on a structure optimized by DFT (PBE).
Intensities are scaled so that the largest is 100.

Atomic structure:
Unit cell a=3.495 b=12.206 c=11.999 alpha=90.00 beta=90.00 gamma=90.00
Space group Cmcm (No. 63)
Unique sites:
Ba1 0.000 0.078 0.250 (multiplicity 4)
Ho1 0.000 0.370 0.042 (multiplicity 8)
Ru1 0.000 0.186 0.750 (multiplicity 4)
N1 0.000 0.000 0.000 (multiplicity 4)
N2 0.000 0.255 0.608 (multiplicity 8)
N3 0.000 0.395 0.250 (multiplicity 4)

Top 6 peaks for 2θ = 10–80°, most intense first:
- 2.932 Å, rel. 100, hkl 1 1 2
- 2.425 Å, rel. 65, hkl 1 3 2
- 2.589 Å, rel. 43, hkl 1 3 1
- 3.345 Å, rel. 42, hkl 0 2 3
- 3.000 Å, rel. 41, hkl 0 0 4
- 3.052 Å, rel. 32, hkl 0 4 0


Entry 3:
PmAl3Pd4: simulated X-ray diffraction stick pattern (CuKα), based on a structure optimized by DFT (PBE).
Intensities are scaled so that the largest is 100.

Atomic structure:
Unit cell a=4.3205 b=4.3205 c=25.9528 alpha=90.00 beta=90.00 gamma=120.00
Space group R-3m (No. 166, hexagonal axes)
Unique sites:
Pm1 0.0000 0.0000 0.0000 (multiplicity 3)
Al1 0.0000 0.0000 0.2394 (multiplicity 6)
Al2 0.0000 0.0000 0.5000 (multiplicity 3)
Pd1 0.0000 0.0000 0.1346 (multiplicity 6)
Pd2 0.0000 0.0000 0.4038 (multiplicity 6)

Top 6 peaks for 2θ = 10–80°, most intense first:
- 2.160 Å, rel. 100, hkl 1 1 0
- 2.634 Å, rel. 63, hkl 1 0 7
- 2.451 Å, rel. 63, hkl 0 1 8
- 3.035 Å, rel. 37, hkl 0 1 5
- 3.595 Å, rel. 26, hkl 0 1 2
- 1.350 Å, rel. 23, hkl 1 1 15